Record 1
For Cs5Np2S6, a structure optimized by DFT (GGA-PBE) gives the computed X-ray powder pattern in this record (Cu Kα, 1.54184 Å).
Intensities are scaled so that the largest is 100.

Most intense lines, 15 to 90 degrees two-theta, by angle:
2theta, I (rel.)
19.70, 25
21.53, 29
22.26, 59
23.47, 100
23.94, 92
24.91, 98
29.71, 29
36.03, 25
38.65, 34
46.90, 27

Structure:
Cell lengths 8.2882, 8.2882, 18.4921 Å; angles 100.87, 100.87, 64.97 degrees
Element x y z (fractional)
Cs  0.1169  0.8831  0.7500
Cs  0.1775  0.6880  0.0000
Cs  0.2507  0.4391  0.2743
Cs  0.3120  0.8225  0.5000
Cs  0.4391  0.2507  0.7743
Cs  0.5609  0.7493  0.2257
Cs  0.6880  0.1775  0.5000
Cs  0.7493  0.5609  0.7257
Cs  0.8225  0.3120  0.0000
Cs  0.8831  0.1169  0.2500
Np  0.1125  0.4241  0.5625
Np  0.4241  0.1125  0.0625
Np  0.5759  0.8875  0.9375
Np  0.8875  0.5759  0.4375
S  0.1002  0.2028  0.6368
S  0.1785  0.2638  0.4249
S  0.2028  0.1002  0.1368
S  0.2638  0.1785  0.9249
S  0.3769  0.4928  0.6267
S  0.4928  0.3769  0.1267
S  0.5072  0.6231  0.8733
S  0.6231  0.5072  0.3733
S  0.7362  0.8215  0.0751
S  0.7972  0.8998  0.8632
S  0.8215  0.7362  0.5751
S  0.8998  0.7972  0.3632

***

Record 2
For AcThTeI, a structure optimized by DFT (GGA-PBE) gives the computed X-ray powder pattern in this record (Cu Kα, 1.54184 Å).
Intensities are scaled so that the largest is 100.

Most intense lines, 15 to 90 degrees two-theta, by angle:
2theta, I (rel.)
22.39, 9
31.87, 100
39.30, 3
45.69, 19
51.45, 4
56.79, 39
66.61, 12
71.24, 2
75.74, 17
84.52, 4

Structure:
Cell lengths 7.9424, 7.9424, 7.9424 Å; angles 90.00, 90.00, 90.00 degrees
Element x y z (fractional)
Ac  0.0000  0.0000  0.0000
Ac  0.0000  0.5000  0.5000
Ac  0.5000  0.0000  0.5000
Ac  0.5000  0.5000  0.0000
Th  0.0000  0.0000  0.5000
Th  0.0000  0.5000  0.0000
Th  0.5000  0.0000  0.0000
Th  0.5000  0.5000  0.5000
Te  0.2500  0.2500  0.7500
Te  0.2500  0.7500  0.2500
Te  0.7500  0.2500  0.2500
Te  0.7500  0.7500  0.7500
I  0.2500  0.2500  0.2500
I  0.2500  0.7500  0.7500
I  0.7500  0.2500  0.7500
I  0.7500  0.7500  0.2500

***

Record 3
For Pr2InPb4, a structure optimized by DFT (GGA-PBE) gives the computed X-ray powder pattern in this record (Cu Kα, 1.54184 Å).
Intensities are scaled so that the largest is 100.

Most intense lines, 15 to 90 degrees two-theta, by angle:
2theta, I (rel.)
18.65, 12
32.29, 100
36.57, 18
37.80, 16
37.98, 16
53.74, 12
63.15, 15
64.81, 13
65.05, 14
67.57, 12

Structure:
Cell lengths 9.5196, 9.8293, 4.7384 Å; angles 90.00, 90.00, 90.00 degrees
Element x y z (fractional)
Pr  0.0000  0.2474  0.0000
Pr  0.0000  0.7526  0.0000
Pr  0.5000  0.2526  0.0000
Pr  0.5000  0.7474  0.0000
In  0.0000  0.0000  0.5000
In  0.5000  0.5000  0.5000
Pb  0.2388  0.5000  0.0000
Pb  0.2500  0.2500  0.5000
Pb  0.2500  0.7500  0.5000
Pb  0.2612  0.0000  0.0000
Pb  0.7388  0.0000  0.0000
Pb  0.7500  0.2500  0.5000
Pb  0.7500  0.7500  0.5000
Pb  0.7612  0.5000  0.0000

***

Please write out number 3 again, unchanged.
For Pr2InPb4, a structure optimized by DFT (GGA-PBE) gives the computed X-ray powder pattern in this record (Cu Kα, 1.54184 Å).
Intensities are scaled so that the largest is 100.

Most intense lines, 15 to 90 degrees two-theta, by angle:
2theta, I (rel.)
18.65, 12
32.29, 100
36.57, 18
37.80, 16
37.98, 16
53.74, 12
63.15, 15
64.81, 13
65.05, 14
67.57, 12

Structure:
Cell lengths 9.5196, 9.8293, 4.7384 Å; angles 90.00, 90.00, 90.00 degrees
Element x y z (fractional)
Pr  0.0000  0.2474  0.0000
Pr  0.0000  0.7526  0.0000
Pr  0.5000  0.2526  0.0000
Pr  0.5000  0.7474  0.0000
In  0.0000  0.0000  0.5000
In  0.5000  0.5000  0.5000
Pb  0.2388  0.5000  0.0000
Pb  0.2500  0.2500  0.5000
Pb  0.2500  0.7500  0.5000
Pb  0.2612  0.0000  0.0000
Pb  0.7388  0.0000  0.0000
Pb  0.7500  0.2500  0.5000
Pb  0.7500  0.7500  0.5000
Pb  0.7612  0.5000  0.0000

***

Copy entry 1 word for word.
For Cs5Np2S6, a structure optimized by DFT (GGA-PBE) gives the computed X-ray powder pattern in this record (Cu Kα, 1.54184 Å).
Intensities are scaled so that the largest is 100.

Most intense lines, 15 to 90 degrees two-theta, by angle:
2theta, I (rel.)
19.70, 25
21.53, 29
22.26, 59
23.47, 100
23.94, 92
24.91, 98
29.71, 29
36.03, 25
38.65, 34
46.90, 27

Structure:
Cell lengths 8.2882, 8.2882, 18.4921 Å; angles 100.87, 100.87, 64.97 degrees
Element x y z (fractional)
Cs  0.1169  0.8831  0.7500
Cs  0.1775  0.6880  0.0000
Cs  0.2507  0.4391  0.2743
Cs  0.3120  0.8225  0.5000
Cs  0.4391  0.2507  0.7743
Cs  0.5609  0.7493  0.2257
Cs  0.6880  0.1775  0.5000
Cs  0.7493  0.5609  0.7257
Cs  0.8225  0.3120  0.0000
Cs  0.8831  0.1169  0.2500
Np  0.1125  0.4241  0.5625
Np  0.4241  0.1125  0.0625
Np  0.5759  0.8875  0.9375
Np  0.8875  0.5759  0.4375
S  0.1002  0.2028  0.6368
S  0.1785  0.2638  0.4249
S  0.2028  0.1002  0.1368
S  0.2638  0.1785  0.9249
S  0.3769  0.4928  0.6267
S  0.4928  0.3769  0.1267
S  0.5072  0.6231  0.8733
S  0.6231  0.5072  0.3733
S  0.7362  0.8215  0.0751
S  0.7972  0.8998  0.8632
S  0.8215  0.7362  0.5751
S  0.8998  0.7972  0.3632